1.
# K3Mg4Si4O14
Computed X-ray diffraction stick pattern, Cu Kα X-rays. Input: a DFT-relaxed cell (GGA-PBE, the Materials Project).
Intensities are scaled so that the largest is 100.

Atomic structure:
a b c (Å): 5.124 13.280 5.125
angles (deg): 90.00 119.98 90.00
Space group Pm (No. 6)
Unique sites:
K (0.000, 0.000, 0.000)
K (0.003, 0.500, 0.014)
K (0.669, 0.000, 0.331)
Mg (0.010, 0.249, 0.008)
Mg (0.676, 0.257, 0.341)
Si (0.340, 0.129, 0.671)
Si (0.341, 0.374, 0.676)
O (0.029, 0.159, 0.671)
O (0.038, 0.338, 0.366)
O (0.336, 0.338, 0.980)
O (0.340, 0.000, 0.672)
O (0.342, 0.159, 0.361)
O (0.344, 0.500, 0.676)
O (0.651, 0.159, 0.982)
O (0.651, 0.338, 0.681)

Peak list (10 most intense, 2θ = 10–80°, in order of rising 2θ)
hkl 1 0 -1, 20.01 deg, I = 26
hkl 0 4 1, 33.71 deg, I = 100
hkl 1 0 -2, 35.02 deg, I = 79
hkl 1 1 1, 35.68 deg, I = 19
hkl 1 3 -2, 40.68 deg, I = 39
hkl 1 4 1, 44.67 deg, I = 39
hkl 2 4 -2, 49.40 deg, I = 27
hkl 1 4 -3, 61.98 deg, I = 27
hkl 3 0 0, 62.81 deg, I = 45
hkl 1 8 1, 67.19 deg, I = 39


2.
# Pr2MgCuO4
Computed X-ray diffraction stick pattern, Cu Kα X-rays. Input: a DFT-relaxed cell (GGA-PBE, the Materials Project).
Intensities are scaled so that the largest is 100.

Atomic structure:
a b c (Å): 3.812 3.812 18.921
angles (deg): 90.00 90.00 90.00
Space group I4/mmm (No. 139)
Unique sites:
Pr (0.000, 0.000, 0.188)
Mg (0.000, 0.000, 0.000)
Cu (0.000, 0.000, 0.500)
O (0.000, 0.000, 0.310)
O (0.000, 0.500, 0.000)

Peak list (10 most intense, 2θ = 10–80°, in order of rising 2θ)
hkl 0 0 4, 18.76 deg, I = 16
hkl 1 0 3, 27.34 deg, I = 100
hkl 0 0 6, 28.30 deg, I = 38
hkl 1 1 0, 33.24 deg, I = 58
hkl 1 0 5, 33.36 deg, I = 28
hkl 1 1 2, 34.60 deg, I = 19
hkl 1 1 6, 44.20 deg, I = 29
hkl 2 0 0, 47.72 deg, I = 28
hkl 2 1 3, 55.87 deg, I = 28
hkl 2 0 6, 56.41 deg, I = 20


3.
# CrN2
Computed X-ray diffraction stick pattern, Cu Kα X-rays. Input: a DFT-relaxed cell (GGA-PBE, the Materials Project).
Intensities are scaled so that the largest is 100.

Atomic structure:
a b c (Å): 5.268 5.965 5.580
angles (deg): 90.00 108.21 90.00
Space group Pm (No. 6)
Unique sites:
Cr (0.000, 0.000, 0.000)
Cr (0.014, 0.500, 0.991)
Cr (0.422, 0.000, 0.689)
Cr (0.492, 0.500, 0.465)
N (0.309, 0.000, 0.952)
N (0.347, 0.256, 0.542)
N (0.386, 0.500, 0.145)
N (0.766, 0.000, 0.719)
N (0.833, 0.500, 0.668)
N (0.934, 0.261, 0.124)

Peak list (10 most intense, 2θ = 10–80°, in order of rising 2θ)
hkl 0 0 1, 16.72 deg, I = 16
hkl 1 0 -1, 20.24 deg, I = 100
hkl 0 1 1, 22.44 deg, I = 31
hkl 1 1 -1, 25.20 deg, I = 31
hkl 1 0 1, 28.09 deg, I = 49
hkl 0 2 0, 29.96 deg, I = 44
hkl 0 0 2, 33.82 deg, I = 15
hkl 2 0 -1, 34.51 deg, I = 17
hkl 2 0 0, 35.89 deg, I = 25
hkl 1 2 -1, 36.43 deg, I = 27


4.
# Ca2SnS4
Computed X-ray diffraction stick pattern, Cu Kα X-rays. Input: a DFT-relaxed cell (GGA-PBE, the Materials Project).
Intensities are scaled so that the largest is 100.

Atomic structure:
a b c (Å): 5.946 5.946 12.506
angles (deg): 90.00 90.00 90.00
Space group I-4 (No. 82)
Unique sites:
Ca (0.000, 0.000, 0.000)
Ca (0.000, 0.500, 0.250)
Sn (0.000, 0.500, 0.750)
S (0.216, 0.264, 0.630)

Peak list (10 most intense, 2θ = 10–80°, in order of rising 2θ)
hkl 0 0 2, 14.16 deg, I = 27
hkl 1 0 1, 16.51 deg, I = 45
hkl 1 1 0, 21.13 deg, I = 19
hkl 1 1 2, 25.53 deg, I = 100
hkl 2 0 4, 41.94 deg, I = 46
hkl 2 2 0, 43.03 deg, I = 20
hkl 1 1 6, 48.77 deg, I = 16
hkl 3 1 2, 50.70 deg, I = 26
hkl 1 3 6, 67.04 deg, I = 11
hkl 2 4 4, 78.12 deg, I = 12


5.
# SrRe3Se4O11
Computed X-ray diffraction stick pattern, Cu Kα X-rays. Input: a DFT-relaxed cell (GGA-PBE, the Materials Project).
Intensities are scaled so that the largest is 100.

Atomic structure:
a b c (Å): 9.031 9.732 11.546
angles (deg): 68.70 79.46 67.68
Space group P-1 (No. 2)
Unique sites:
Sr (0.048, 0.196, 0.053)
Re (0.267, 0.996, 0.348)
Re (0.323, 0.282, 0.475)
Re (0.332, 0.903, 0.704)
Se (0.152, 0.114, 0.539)
Se (0.377, 0.239, 0.269)
Se (0.381, 0.754, 0.558)
Se (0.410, 0.126, 0.695)
O (0.031, 0.945, 0.055)
O (0.096, 0.155, 0.278)
O (0.157, 0.347, 0.866)
O (0.204, 0.601, 0.101)
O (0.211, 0.471, 0.463)
O (0.224, 0.834, 0.837)
O (0.227, 0.408, 0.930)
O (0.267, 0.846, 0.302)
O (0.286, 0.644, 0.146)
O (0.371, 0.413, 0.886)
O (0.430, 0.998, 0.011)

Peak list (10 most intense, 2θ = 10–80°, in order of rising 2θ)
hkl 0 1 0, 10.38 deg, I = 100
hkl 1 0 0, 10.60 deg, I = 25
hkl 0 1 1, 10.97 deg, I = 53
hkl 1 1 0, 12.04 deg, I = 17
hkl 1 1 1, 12.19 deg, I = 18
hkl 1 0 -1, 13.77 deg, I = 20
hkl 2 0 -1, 23.27 deg, I = 16
hkl 1 -1 2, 25.86 deg, I = 19
hkl 2 3 0, 31.50 deg, I = 19
hkl 2 4 4, 42.08 deg, I = 17


6.
# ReNCl4
Computed X-ray diffraction stick pattern, Cu Kα X-rays. Input: a DFT-relaxed cell (GGA-PBE, the Materials Project).
Intensities are scaled so that the largest is 100.

Atomic structure:
a b c (Å): 8.718 11.666 10.235
angles (deg): 90.00 97.69 90.00
Space group P2_1/m (No. 11)
Unique sites:
Re (0.172, 0.250, 0.418)
Re (0.294, 0.138, 0.245)
N (0.200, 0.750, 0.341)
N (0.230, 0.006, 0.823)
Cl (0.021, 0.750, 0.277)
Cl (0.070, 0.115, 0.105)
Cl (0.083, 0.750, 0.647)
Cl (0.174, 0.045, 0.417)
Cl (0.341, 0.250, 0.603)
Cl (0.368, 0.536, 0.145)
Cl (0.407, 0.250, 0.087)
Cl (0.470, 0.617, 0.629)

Peak list (10 most intense, 2θ = 10–80°, in order of rising 2θ)
hkl 0 1 1, 11.56 deg, I = 97
hkl 1 0 -1, 12.54 deg, I = 42
hkl 1 1 0, 12.75 deg, I = 100
hkl 1 0 1, 14.33 deg, I = 56
hkl 0 0 2, 17.51 deg, I = 18
hkl 2 1 1, 24.67 deg, I = 11
hkl 1 3 -2, 29.93 deg, I = 21
hkl 1 4 -1, 33.24 deg, I = 11
hkl 3 1 2, 38.73 deg, I = 11
hkl 2 4 -2, 40.10 deg, I = 12


Question: What is the formula in the first record?
Answer: K3Mg4Si4O14


Question: What is the formula in the third record?
Answer: CrN2